# Ni3H6SO3
Computed powder diffractogram, copper Kα. Input: a structure optimized by DFT (PBE+U).

Principal peaks in the range 10 to 90 degrees two-theta, in order of rising 2θ:
two_theta	d_spacing	I/Imax	(hkl)
15.59	5.683	37	0 0 1
18.19	4.877	62	0 1 0
19.45	4.565	63	0 1 1
20.23	4.390	29	1 0 0
22.64	3.928	37	1 0 1
25.74	3.461	100	1 1 1
30.48	2.933	51	-1 1 1
31.48	2.842	31	0 0 2
32.31	2.771	41	1 -1 1
41.55	2.174	38	1 0 -2

Atomic structure:
```
data_Ni3H6SO3
_symmetry_space_group_name_H-M 'P 1'
_symmetry_Int_Tables_number 1
_symmetry_space_group_name_Hall 'P 1'
_cell_length_a 4.5152
_cell_length_b 5.2108
_cell_length_c 6.2308
_cell_angle_alpha 69.41
_cell_angle_beta 76.50
_cell_angle_gamma 86.19
loop_
_atom_site_label
_atom_site_type_symbol
_atom_site_fract_x
_atom_site_fract_y
_atom_site_fract_z
Ni1 Ni 0.0000 0.0000 0.0000
Ni2 Ni 0.0603 0.3606 0.5857
Ni3 Ni 0.4638 0.4182 0.1501
H1 H 0.2494 0.1974 0.3945
H2 H 0.2561 0.1187 0.7792
H3 H 0.3123 0.8359 0.4870
H4 H 0.6567 0.0178 0.6843
H5 H 0.8082 0.9725 0.6259
H6 H 0.9728 0.4807 0.9497
S1 S 0.7587 0.6313 0.3099
O1 O 0.1217 0.6399 0.0656
O2 O 0.3748 0.6438 0.5403
O3 O 0.8260 0.3592 0.9209
```